For Sm2TlZn2In, a structure optimized by DFT (PBE) gives the theoretical powder diffraction line list in this record (a wavelength of 1.5418 Å).
Neutral-atom scattering factors, no anomalous dispersion.

```
data_Sm2TlZn2In
_cell_length_a 4.7212
_cell_length_b 4.7212
_cell_length_c 7.5109
_cell_angle_alpha 90.00
_cell_angle_beta 90.00
_cell_angle_gamma 120.00
_space_group_name_H-M_alt 'P 3 m 1'
_space_group_IT_number 156
loop_
_space_group_symop_operation_xyz
'x,y,z'
'-y,x-y,z'
'-x+y,-x,z'
'-y,-x,z'
'-x+y,y,z'
'x,x-y,z'
loop_
_atom_site_label
_atom_site_fract_x
_atom_site_fract_y
_atom_site_fract_z
Sm1 0.0000 0.0000 0.0000
Sm2 0.0000 0.0000 0.4992
Tl1 0.3333 0.6667 0.7223
Zn1 0.3333 0.6667 0.2954
Zn2 0.6667 0.3333 0.8049
In1 0.6667 0.3333 0.2249
```

Peak list (10 most intense, 2θ = 10–80°, low angle first)
2θ/deg	I (rel.)	hkl
24.79	24	0 1 1
32.37	100	0 1 2
38.12	70	1 1 0
42.33	15	0 1 3
48.48	7	0 0 4
50.85	28	2 0 2
63.28	19	1 1 4
65.29	26	1 2 2
66.29	7	1 0 5
68.89	12	3 0 0